Entry 1:
This entry pairs a crystal structure of Pr11Y4Ho9 with its calculated powder diffraction line list. Radiation: λ = 1.5418 Å (Cu Kα). Structure: a GGA-PBE-relaxed structure.

Largest 6 diffraction maxima, low angle first, 2θ from 10° to 90°:
3.039 Å, intensity 100
2.996 Å, intensity 28
2.909 Å, intensity 30
2.801 Å, intensity 78
2.787 Å, intensity 95
1.573 Å, intensity 28

Cell and atoms:
a = 15.5357 Å, b = 15.5357 Å, c = 3.6764 Å
α = 90.00°, β = 90.00°, γ = 113.23°
Atoms (fractional coordinates):
Pr 0.0000 0.0000 0.0000
Pr 0.0406 0.4034 0.0000
Pr 0.1607 0.8393 0.0000
Pr 0.2909 0.2909 0.0000
Pr 0.3680 0.6320 0.0000
Pr 0.4034 0.0406 0.0000
Pr 0.5966 0.9594 0.0000
Pr 0.6320 0.3680 0.0000
Pr 0.7091 0.7091 0.0000
Pr 0.8393 0.1607 0.0000
Pr 0.9594 0.5966 0.0000
Y 0.2404 0.4441 0.5000
Y 0.4441 0.2404 0.5000
Y 0.5559 0.7596 0.5000
Y 0.7596 0.5559 0.5000
Ho 0.0673 0.2129 0.5000
Ho 0.1661 0.6303 0.5000
Ho 0.2129 0.0673 0.5000
Ho 0.3697 0.8339 0.5000
Ho 0.5000 0.5000 0.5000
Ho 0.6303 0.1661 0.5000
Ho 0.7871 0.9327 0.5000
Ho 0.8339 0.3697 0.5000
Ho 0.9327 0.7871 0.5000

=====

Entry 2:
This entry pairs a crystal structure of Y7HoIn4 with its calculated powder diffraction line list. Radiation: λ = 1.5418 Å (Cu Kα). Structure: a GGA-PBE-relaxed structure.

Largest 6 diffraction maxima, low angle first, 2θ from 10° to 90°:
3.145 Å, intensity 52
2.989 Å, intensity 52
2.937 Å, intensity 41
2.827 Å, intensity 100
2.689 Å, intensity 36
2.472 Å, intensity 70

Cell and atoms:
a = 7.7875 Å, b = 7.7875 Å, c = 10.5142 Å
α = 121.33°, β = 121.33°, γ = 42.57°
Atoms (fractional coordinates):
Y 0.0000 0.0000 0.0000
Y 0.2181 0.2181 0.6596
Y 0.2887 0.2887 0.1216
Y 0.4367 0.4367 0.6066
Y 0.5633 0.5633 0.3934
Y 0.7113 0.7113 0.8784
Y 0.7819 0.7819 0.3404
Ho 0.5000 0.5000 0.0000
In 0.0604 0.0604 0.7582
In 0.1816 0.1816 0.3339
In 0.8184 0.8184 0.6661
In 0.9396 0.9396 0.2418

=====

Entry 3:
This entry pairs a crystal structure of Sr4AlZn4 with its calculated powder diffraction line list. Radiation: λ = 1.5418 Å (Cu Kα). Structure: a GGA-PBE-relaxed structure.

Largest 6 diffraction maxima, low angle first, 2θ from 10° to 90°:
3.484 Å, intensity 100
3.092 Å, intensity 97
2.965 Å, intensity 75
2.765 Å, intensity 49
2.454 Å, intensity 49
2.407 Å, intensity 84

Cell and atoms:
a = 9.7787 Å, b = 9.7787 Å, c = 5.7657 Å
α = 90.00°, β = 90.00°, γ = 90.00°
Atoms (fractional coordinates):
Sr 0.0620 0.8471 0.1515
Sr 0.1529 0.5620 0.6515
Sr 0.3471 0.9380 0.6515
Sr 0.4380 0.6529 0.1515
Sr 0.5620 0.3471 0.8485
Sr 0.6529 0.0620 0.3485
Sr 0.8471 0.4380 0.3485
Sr 0.9380 0.1529 0.8485
Al 0.2500 0.2500 0.7500
Al 0.7500 0.7500 0.2500
Zn 0.1010 0.1835 0.3733
Zn 0.1835 0.3990 0.1267
Zn 0.3165 0.1010 0.1267
Zn 0.3990 0.3165 0.3733
Zn 0.6010 0.6835 0.6267
Zn 0.6835 0.8990 0.8733
Zn 0.8165 0.6010 0.8733
Zn 0.8990 0.8165 0.6267

=====

Entry 4:
This entry pairs a crystal structure of Ta2AgP2 with its calculated powder diffraction line list. Radiation: λ = 1.5418 Å (Cu Kα). Structure: a GGA-PBE-relaxed structure.

Largest 6 diffraction maxima, low angle first, 2θ from 10° to 90°:
3.161 Å, intensity 63
2.682 Å, intensity 41
2.241 Å, intensity 100
2.235 Å, intensity 59
1.544 Å, intensity 21
1.213 Å, intensity 22

Cell and atoms:
a = 7.0685 Å, b = 7.0685 Å, c = 3.1785 Å
α = 90.00°, β = 90.00°, γ = 90.00°
Atoms (fractional coordinates):
Ta 0.1449 0.3551 0.0000
Ta 0.3551 0.8551 0.0000
Ta 0.6449 0.1449 0.0000
Ta 0.8551 0.6449 0.0000
Ag 0.0000 0.0000 0.5000
Ag 0.5000 0.5000 0.5000
P 0.1440 0.6440 0.5000
P 0.3560 0.1440 0.5000
P 0.6440 0.8560 0.5000
P 0.8560 0.3560 0.5000